Starting from DFT lattice parameters and positions (GGA-PBE), the powder diffraction line list of SmCrCl6 was calculated for Cu Kα (weighted mean of Kα1 and Kα2).
Kinematic intensities with the Lorentz-polarization factor, no thermal factor.

Cell lengths 6.9014, 6.9014, 6.9014 Å; angles 55.47, 55.47, 55.47 degrees
Element x y z (fractional)
Sm1 0.0000 0.0000 0.0000
Cr1 0.5000 0.5000 0.5000
Cl1 0.1204 0.7248 0.4217
Cl2 0.2752 0.5783 0.8796
Cl3 0.4217 0.1204 0.7248
Cl4 0.5783 0.8796 0.2752
Cl5 0.7248 0.4217 0.1204
Cl6 0.8796 0.2752 0.5783

Principal peaks in the range 2θ = 5–70°, by angle:
| two_theta | intensity |
| --- | --- |
| 16.7 | 127 |
| 18.9 | 1000 |
| 25.9 | 360 |
| 31.8 | 494 |
| 32.6 | 92 |
| 33.8 | 154 |
| 38.4 | 163 |
| 41.9 | 480 |
| 44.3 | 177 |
| 48.0 | 166 |
| 49.1 | 244 |
| 66.5 | 107 |